Theoretical PXRD pattern of CsAsH2O4 for Cu Kα, 1.54184 Å, from the GGA-PBE geometry in Alexandria.
Neutral-atom scattering factors, no anomalous dispersion.

Structure:
a b c (Å): 7.1217 6.9429 8.1784
angles (deg): 55.47 53.43 71.10
Fractional positions:
Cs1 0.0000 0.0000 0.0000
Cs2 0.2500 0.2500 0.2500
As1 0.5182 0.5182 0.4818
As2 0.7682 0.7682 0.7318
H1 0.1609 0.6063 0.7518
H2 0.4982 0.7690 0.0891
H3 0.6063 0.1609 0.4810
H4 0.7690 0.4982 0.6437
O1 0.2874 0.4775 0.7624
O2 0.4775 0.2874 0.4727
O3 0.4880 0.7760 0.2739
O4 0.4876 0.7773 0.9626
O5 0.7760 0.4880 0.4621
O6 0.7773 0.4876 0.7725
O7 0.7879 0.9761 0.4740
O8 0.9761 0.7879 0.7620

Peak list (12 most intense, 2θ = 10–80°, most intense first)
| Position (°2θ) | I (rel.) |
| --- | --- |
| 21.75 | 100.0 |
| 26.93 | 58.3 |
| 27.27 | 56.2 |
| 41.25 | 36.2 |
| 41.94 | 34.5 |
| 30.35 | 20.0 |
| 50.80 | 18.0 |
| 31.54 | 17.7 |
| 65.26 | 12.6 |
| 69.00 | 11.4 |
| 61.98 | 10.6 |
| 49.10 | 10.2 |

***

Theoretical PXRD pattern of Y4CN2O for Cu Kα, 1.54184 Å, from the GGA-PBE geometry in Alexandria.
Neutral-atom scattering factors, no anomalous dispersion.

Structure:
a b c (Å): 4.9363 4.9363 9.9332
angles (deg): 90.00 90.00 90.00
Fractional positions:
Y1 0.0000 0.0000 0.2468
Y2 0.0000 0.0000 0.7532
Y3 0.0000 0.5000 0.0000
Y4 0.0000 0.5000 0.5000
Y5 0.5000 0.0000 0.0000
Y6 0.5000 0.0000 0.5000
Y7 0.5000 0.5000 0.2532
Y8 0.5000 0.5000 0.7468
C1 0.0000 0.0000 0.0000
C2 0.5000 0.5000 0.5000
N1 0.0000 0.5000 0.2500
N2 0.0000 0.5000 0.7500
N3 0.5000 0.0000 0.2500
N4 0.5000 0.0000 0.7500
O1 0.0000 0.0000 0.5000
O2 0.5000 0.5000 0.0000

Peak list (10 most intense, 2θ = 10–80°, most intense first)
| Position (°2θ) | I (rel.) |
| --- | --- |
| 31.32 | 100.0 |
| 36.40 | 61.1 |
| 52.26 | 40.4 |
| 36.17 | 31.0 |
| 62.35 | 28.7 |
| 52.43 | 20.0 |
| 65.35 | 19.7 |
| 62.05 | 14.5 |
| 77.32 | 5.9 |
| 76.76 | 3.0 |